LiHgWO4: computed XRD peak list (λ = 1.5418 Å (Cu Kα)), based on a structure optimized by DFT (PBE+U).

a = 6.4679 Å, b = 6.4679 Å, c = 7.0827 Å
α = 104.86°, β = 104.86°, γ = 57.27°
Element x y z (fractional)
Li (0.2018, 0.2018, 0.2646)
Li (0.7982, 0.7982, 0.7354)
Hg (0.4239, 0.4239, 0.1116)
Hg (0.5761, 0.5761, 0.8884)
W (0.1024, 0.1024, 0.7192)
W (0.8976, 0.8976, 0.2808)
O (0.0687, 0.0687, 0.3840)
O (0.0876, 0.5601, 0.2959)
O (0.1221, 0.1221, 0.9799)
O (0.4399, 0.9124, 0.7041)
O (0.5601, 0.0876, 0.2959)
O (0.8779, 0.8779, 0.0201)
O (0.9124, 0.4399, 0.7041)
O (0.9313, 0.9313, 0.6160)

Most intense lines, 2θ = 10–80°, most intense first:
| 2θ (°) | I (rel.) |
| --- | --- |
| 23.8 | 100 |
| 19.5 | 91 |
| 33.2 | 70 |
| 17.7 | 69 |
| 28.8 | 68 |
| 33.8 | 50 |